Structure and computed powder X-ray diffraction pattern of PaCo5P3 (the GGA-PBE geometry in Alexandria; copper Kα).

Atomic structure:
abc: 3.5709 11.3337 11.2966
angles: 90.00 90.00 90.00
Space group Cmcm (No. 63)
One atom of each set of equivalent atoms:
Pa 0.0000 0.1576 0.2500
Co 0.0000 0.0000 0.0000
Co 0.0000 0.2011 0.5736
Co 0.0000 0.4494 0.1435
P 0.0000 0.1119 0.7500
P 0.0000 0.3834 0.5400

Largest 10 diffraction maxima, most intense first, 2θ from 5° to 70°:
h k l, 2θ/deg, d/Å, I_rel
1 1 3, 35.52, 2.527, 1000
1 3 2, 38.16, 2.358, 541
1 3 0, 34.56, 2.595, 412
1 1 4, 41.54, 2.174, 400
2 0 0, 51.15, 1.786, 394
0 2 3, 28.46, 3.136, 389
1 1 1, 27.35, 3.261, 278
0 4 1, 32.58, 2.748, 225
1 5 5, 63.70, 1.461, 207
0 2 1, 17.51, 5.065, 204